[1]
# InFeNi
Theoretical powder XRD pattern, Cu Ka. Input: a crystal structure in the Materials Project, relaxed with GGA-PBE.
Lines closer than 0.1° are merged.

The 8 most intense peaks (10° ≤ 2θ ≤ 90°), most intense first:
| two_theta | d [Å] | I/Imax |
| --- | --- | --- |
| 40.5 | 2.229 | 100 |
| 42.4 | 2.132 | 79 |
| 60.1 | 1.540 | 30 |
| 76.3 | 1.249 | 28 |
| 82.5 | 1.169 | 20 |
| 24.1 | 3.692 | 18 |
| 77.6 | 1.231 | 12 |
| 67.0 | 1.398 | 6 |

```
InFeNi
1.0
4.263 0.000 0.000
-2.132 3.692 0.000
0.000 0.000 2.795
In Fe Ni
1 1 1
direct
0.000 0.000 0.000
0.667 0.333 0.500
0.333 0.667 0.500
```

[2]
# InFeNi
Theoretical powder XRD pattern, Cu Ka. Input: a crystal structure in the Materials Project, relaxed with GGA-PBE.
Lines closer than 0.1° are merged.

The 8 most intense peaks (10° ≤ 2θ ≤ 90°), most intense first:
| two_theta | d [Å] | I/Imax |
| --- | --- | --- |
| 41.3 | 2.188 | 100 |
| 41.8 | 2.163 | 75 |
| 60.2 | 1.538 | 24 |
| 75.6 | 1.258 | 23 |
| 54.5 | 1.683 | 23 |
| 86.2 | 1.128 | 22 |
| 29.0 | 3.076 | 18 |
| 75.2 | 1.263 | 15 |

```
InFeNi
1.0
4.375 0.000 0.000
-2.188 3.789 0.000
0.000 0.000 5.268
In Fe Ni
2 2 2
direct
0.333 0.667 0.250
0.667 0.333 0.750
0.000 0.000 0.000
0.000 0.000 0.500
0.333 0.667 0.750
0.667 0.333 0.250
```

[3]
# Sm6InFe13
Theoretical powder XRD pattern, Cu Ka. Input: a crystal structure in the Materials Project, relaxed with GGA-PBE.
Lines closer than 0.1° are merged.

The 8 most intense peaks (10° ≤ 2θ ≤ 90°), most intense first:
| two_theta | d [Å] | I/Imax |
| --- | --- | --- |
| 31.6 | 2.829 | 100 |
| 35.5 | 2.529 | 84 |
| 27.5 | 3.245 | 75 |
| 38.4 | 2.343 | 57 |
| 43.4 | 2.087 | 45 |
| 38.9 | 2.315 | 43 |
| 51.1 | 1.789 | 38 |
| 47.0 | 1.933 | 35 |

```
Sm6InFe13
1.0
-3.999 3.999 11.564
3.999 -3.999 11.564
3.999 3.999 -11.564
Sm In Fe
12 2 26
direct
0.022 0.522 0.174
0.105 0.105 0.000
0.152 0.978 0.500
0.348 0.848 0.826
0.395 0.395 0.000
0.478 0.652 0.500
0.522 0.348 0.500
0.605 0.605 0.000
0.652 0.152 0.174
0.848 0.022 0.500
0.895 0.895 0.000
0.978 0.478 0.826
0.250 0.250 0.000
0.750 0.750 0.000
0.000 0.500 0.500
0.019 0.292 0.500
0.066 0.210 0.276
0.120 0.620 0.858
0.208 0.481 0.500
0.210 0.934 0.144
0.238 0.738 0.858
0.262 0.120 0.500
0.290 0.434 0.724
0.292 0.792 0.273
0.380 0.238 0.500
0.434 0.710 0.144
0.481 0.981 0.273
0.500 0.000 0.500
0.519 0.019 0.727
0.566 0.290 0.856
0.620 0.762 0.500
0.708 0.208 0.727
0.710 0.566 0.276
0.738 0.880 0.500
0.762 0.262 0.142
0.790 0.066 0.856
0.792 0.519 0.500
0.880 0.380 0.142
0.934 0.790 0.724
0.981 0.708 0.500
```

[4]
# Ti2InFe
Theoretical powder XRD pattern, Cu Ka. Input: a crystal structure in the Materials Project, relaxed with GGA-PBE.
Lines closer than 0.1° are merged.

The 8 most intense peaks (10° ≤ 2θ ≤ 90°), most intense first:
| two_theta | d [Å] | I/Imax |
| --- | --- | --- |
| 40.0 | 2.256 | 100 |
| 72.6 | 1.302 | 31 |
| 24.2 | 3.683 | 17 |
| 57.8 | 1.595 | 16 |
| 86.2 | 1.128 | 10 |
| 47.3 | 1.924 | 9 |
| 28.0 | 3.190 | 6 |
| 63.6 | 1.464 | 4 |

```
Ti2InFe
1.0
0.000 3.190 3.190
3.190 0.000 3.190
3.190 3.190 0.000
Ti In Fe
2 1 1
direct
0.000 0.000 0.000
0.250 0.250 0.250
0.500 0.500 0.500
0.750 0.750 0.750
```

[5]
# Tm12In2Fe3
Theoretical powder XRD pattern, Cu Ka. Input: a crystal structure in the Materials Project, relaxed with GGA-PBE.
Lines closer than 0.1° are merged.

The 8 most intense peaks (10° ≤ 2θ ≤ 90°), most intense first:
| two_theta | d [Å] | I/Imax |
| --- | --- | --- |
| 32.5 | 2.752 | 100 |
| 37.3 | 2.414 | 41 |
| 35.7 | 2.518 | 40 |
| 34.9 | 2.573 | 36 |
| 29.4 | 3.041 | 26 |
| 30.3 | 2.951 | 25 |
| 60.6 | 1.527 | 23 |
| 59.6 | 1.551 | 16 |

```
Tm12In2Fe3
1.0
-4.827 4.827 4.650
4.827 -4.827 4.650
4.827 4.827 -4.650
Tm In Fe
12 2 3
direct
0.045 0.809 0.236
0.191 0.427 0.236
0.191 0.955 0.764
0.307 0.307 0.614
0.307 0.693 0.000
0.427 0.191 0.236
0.573 0.809 0.764
0.693 0.307 0.000
0.693 0.693 0.386
0.809 0.045 0.236
0.809 0.573 0.764
0.955 0.191 0.764
0.000 0.500 0.500
0.500 0.000 0.500
0.000 0.000 0.000
0.385 0.385 0.000
0.615 0.615 0.000
```

[6]
# FeIr3
Theoretical powder XRD pattern, Cu Ka. Input: a crystal structure in the Materials Project, relaxed with GGA-PBE.
Lines closer than 0.1° are merged.

The 8 most intense peaks (10° ≤ 2θ ≤ 90°), most intense first:
| two_theta | d [Å] | I/Imax |
| --- | --- | --- |
| 44.0 | 2.057 | 100 |
| 41.9 | 2.154 | 26 |
| 38.5 | 2.341 | 24 |
| 84.6 | 1.145 | 20 |
| 78.1 | 1.224 | 19 |
| 69.6 | 1.352 | 17 |
| 28.1 | 3.171 | 16 |
| 86.1 | 1.130 | 15 |

```
FeIr3
1.0
5.407 0.000 0.000
-2.703 4.682 0.000
0.000 0.000 4.309
Fe Ir
2 6
direct
0.333 0.667 0.250
0.667 0.333 0.750
0.170 0.340 0.750
0.170 0.830 0.750
0.340 0.170 0.250
0.660 0.830 0.750
0.830 0.170 0.250
0.830 0.660 0.250
```

[7]
# FeIr
Theoretical powder XRD pattern, Cu Ka. Input: a crystal structure in the Materials Project, relaxed with GGA-PBE.
Lines closer than 0.1° are merged.

The 8 most intense peaks (10° ≤ 2θ ≤ 90°), most intense first:
| two_theta | d [Å] | I/Imax |
| --- | --- | --- |
| 42.1 | 2.147 | 100 |
| 49.3 | 1.848 | 63 |
| 21.2 | 4.190 | 52 |
| 40.1 | 2.248 | 32 |
| 43.2 | 2.095 | 31 |
| 87.4 | 1.116 | 25 |
| 71.5 | 1.319 | 20 |
| 73.1 | 1.295 | 19 |

```
FeIr
1.0
1.319 0.762 4.190
-1.319 0.762 4.190
0.000 -1.523 4.190
Fe Ir
1 1
direct
0.000 0.000 0.000
0.500 0.500 0.500
```

[8]
# FeIr3
Theoretical powder XRD pattern, Cu Ka. Input: a crystal structure in the Materials Project, relaxed with GGA-PBE.
Lines closer than 0.1° are merged.

The 8 most intense peaks (10° ≤ 2θ ≤ 90°), most intense first:
| two_theta | d [Å] | I/Imax |
| --- | --- | --- |
| 41.3 | 2.188 | 100 |
| 48.0 | 1.895 | 49 |
| 84.8 | 1.143 | 38 |
| 70.2 | 1.340 | 31 |
| 23.5 | 3.790 | 14 |
| 89.6 | 1.094 | 12 |
| 33.4 | 2.680 | 11 |
| 54.1 | 1.695 | 6 |

```
FeIr3
1.0
3.790 0.000 0.000
0.000 3.790 0.000
0.000 0.000 3.790
Fe Ir
1 3
direct
0.000 0.000 0.000
0.000 0.500 0.500
0.500 0.000 0.500
0.500 0.500 0.000
```

[9]
# FeIr3
Theoretical powder XRD pattern, Cu Ka. Input: a crystal structure in the Materials Project, relaxed with GGA-PBE.
Lines closer than 0.1° are merged.

The 8 most intense peaks (10° ≤ 2θ ≤ 90°), most intense first:
| two_theta | d [Å] | I/Imax |
| --- | --- | --- |
| 41.1 | 2.196 | 100 |
| 47.8 | 1.904 | 33 |
| 84.4 | 1.148 | 26 |
| 70.0 | 1.344 | 21 |
| 47.9 | 1.897 | 16 |
| 26.2 | 3.404 | 14 |
| 84.7 | 1.145 | 13 |
| 89.2 | 1.098 | 12 |

```
FeIr3
1.0
-1.904 1.904 3.795
1.904 -1.904 3.795
1.904 1.904 -3.795
Fe Ir
1 3
direct
0.000 0.000 0.000
0.250 0.750 0.500
0.500 0.500 0.000
0.750 0.250 0.500
```

[10]
# Fe2IrN3
Theoretical powder XRD pattern, Cu Ka. Input: a crystal structure in the Materials Project, relaxed with GGA-PBE.
Lines closer than 0.1° are merged.

The 8 most intense peaks (10° ≤ 2θ ≤ 90°), most intense first:
| two_theta | d [Å] | I/Imax |
| --- | --- | --- |
| 18.9 | 4.691 | 100 |
| 37.7 | 2.386 | 100 |
| 38.6 | 2.330 | 94 |
| 33.8 | 2.653 | 89 |
| 36.9 | 2.434 | 72 |
| 50.9 | 1.794 | 47 |
| 26.4 | 3.378 | 41 |
| 19.5 | 4.550 | 41 |

```
Fe2IrN3
1.0
4.550 -2.737 0.000
4.550 2.737 0.000
0.000 0.000 4.869
Fe Ir N
4 2 6
direct
0.020 0.354 0.000
0.354 0.020 0.500
0.646 0.980 0.000
0.980 0.646 0.500
0.392 0.608 0.002
0.608 0.392 0.502
0.010 0.305 0.626
0.259 0.741 0.613
0.305 0.010 0.126
0.695 0.990 0.626
0.741 0.259 0.113
0.990 0.695 0.126
```

[11]
# Fe3Si4Ir
Theoretical powder XRD pattern, Cu Ka. Input: a crystal structure in the Materials Project, relaxed with GGA-PBE.
Lines closer than 0.1° are merged.

The 8 most intense peaks (10° ≤ 2θ ≤ 90°), most intense first:
| two_theta | d [Å] | I/Imax |
| --- | --- | --- |
| 44.5 | 2.038 | 100 |
| 44.6 | 2.032 | 96 |
| 27.7 | 3.223 | 76 |
| 49.1 | 1.855 | 71 |
| 19.5 | 4.550 | 67 |
| 34.2 | 2.624 | 56 |
| 27.8 | 3.212 | 42 |
| 48.9 | 1.863 | 34 |

```
Fe3Si4Ir
1.0
3.212 1.854 2.636
-3.212 1.854 2.636
0.000 -3.708 2.636
Fe Si Ir
3 4 1
direct
0.093 0.320 0.588
0.320 0.588 0.093
0.588 0.093 0.320
0.125 0.125 0.125
0.298 0.788 0.599
0.599 0.298 0.788
0.788 0.599 0.298
0.821 0.821 0.821
```

[12]
# KMg14Fe
Theoretical powder XRD pattern, Cu Ka. Input: a crystal structure in the Materials Project, relaxed with GGA-PBE.
Lines closer than 0.1° are merged.

The 8 most intense peaks (10° ≤ 2θ ≤ 90°), most intense first:
| two_theta | d [Å] | I/Imax |
| --- | --- | --- |
| 36.7 | 2.450 | 100 |
| 32.0 | 2.794 | 26 |
| 35.2 | 2.550 | 22 |
| 57.1 | 1.613 | 18 |
| 68.9 | 1.363 | 16 |
| 48.3 | 1.883 | 14 |
| 69.8 | 1.347 | 13 |
| 64.1 | 1.452 | 13 |

```
KMg14Fe
1.0
6.452 0.000 0.000
-3.226 5.588 0.000
0.000 0.000 10.199
K Mg Fe
1 14 1
direct
0.000 0.000 0.000
0.012 0.506 0.000
0.162 0.323 0.279
0.162 0.323 0.721
0.162 0.838 0.279
0.162 0.838 0.721
0.494 0.506 0.000
0.494 0.988 0.000
0.507 0.014 0.500
0.507 0.493 0.500
0.667 0.333 0.241
0.667 0.333 0.759
0.677 0.838 0.279
0.677 0.838 0.721
0.986 0.493 0.500
0.000 0.000 0.500
```